1.
Calculated powder diffractogram of TlAsPd5 for Cu Kα (weighted mean of Kα1 and Kα2), from a DFT-relaxed cell (PBE, the Materials Project).

The 8 most intense peaks (2θ = 5–70°), in order of rising 2θ:
| two_theta | I/Imax | h k l |
| --- | --- | --- |
| 25.11 | 17 | 1 0 1 |
| 33.48 | 34 | 1 1 1 |
| 37.65 | 16 | 0 0 3 |
| 40.12 | 100 | 1 1 2 |
| 44.40 | 44 | 2 0 0 |
| 59.59 | 16 | 2 0 3 |
| 64.60 | 14 | 2 2 0 |
| 69.87 | 12 | 2 0 4 |

Structure:
```
data_TlAsPd5
_chemical_formula_sum 'Tl1 As1 Pd5'
_cell_length_a 4.081
_cell_length_b 4.081
_cell_length_c 7.167
_cell_angle_alpha 90.00
_cell_angle_beta 90.00
_cell_angle_gamma 90.00
_symmetry_space_group_name_H-M 'P 4/m m m'
_symmetry_Int_Tables_number 123
_symmetry_space_group_name_Hall '-P 4 2'
loop_
_atom_site_label
_atom_site_type_symbol
_atom_site_fract_x
_atom_site_fract_y
_atom_site_fract_z
Tl1 Tl 0.000 0.000 0.000
As1 As 0.500 0.500 0.500
Pd1 Pd 0.000 0.500 0.293
Pd2 Pd 0.500 0.500 0.000
```


2.
Calculated powder diffractogram of TmAsPd for Cu Kα (weighted mean of Kα1 and Kα2), from a DFT-relaxed cell (PBE, the Materials Project).

The 8 most intense peaks (2θ = 5–70°), in order of rising 2θ:
| two_theta | I/Imax | h k l |
| --- | --- | --- |
| 33.75 | 40 | 2 1 0 |
| 34.00 | 66 | 1 1 2 |
| 34.28 | 24 | 2 0 2 |
| 35.66 | 100 | 2 1 1 |
| 36.41 | 33 | 1 0 3 |
| 40.65 | 44 | 0 1 3 |
| 44.15 | 40 | 0 2 0 |
| 66.07 | 21 | 3 1 4 |

Structure:
```
data_TmAsPd
_chemical_formula_sum 'Tm4 As4 Pd4'
_cell_length_a 6.969
_cell_length_b 4.103
_cell_length_c 7.917
_cell_angle_alpha 90.00
_cell_angle_beta 90.00
_cell_angle_gamma 90.00
_symmetry_space_group_name_H-M 'P n m a'
_symmetry_Int_Tables_number 62
loop_
_symmetry_equiv_pos_as_xyz
'x,y,z'
'-x,-y,-z'
'-x+1/2,-y,z+1/2'
'x+1/2,y,-z+1/2'
'x+1/2,-y+1/2,-z+1/2'
'-x+1/2,y+1/2,z+1/2'
'-x,y+1/2,-z'
'x,-y+1/2,z'
loop_
_atom_site_label
_atom_site_type_symbol
_atom_site_fract_x
_atom_site_fract_y
_atom_site_fract_z
Tm1 Tm 0.031 0.250 0.191
As1 As 0.247 0.250 0.879
Pd1 Pd 0.144 0.250 0.563
```


3.
Calculated powder diffractogram of PmAs3 for Cu Kα (weighted mean of Kα1 and Kα2), from a DFT-relaxed cell (PBE, the Materials Project).

The 8 most intense peaks (2θ = 5–70°), in order of rising 2θ:
| two_theta | I/Imax | h k l |
| --- | --- | --- |
| 17.65 | 5 | 0 0 2 |
| 23.13 | 10 | 1 0 1 |
| 35.34 | 100 | 1 1 2 |
| 35.73 | 24 | 0 0 4 |
| 43.49 | 28 | 2 0 0 |
| 57.50 | 24 | 2 0 4 |
| 63.20 | 9 | 2 2 0 |
| 63.94 | 18 | 1 1 6 |

Structure:
```
data_PmAs3
_chemical_formula_sum 'Pm2 As6'
_cell_length_a 4.162
_cell_length_b 4.162
_cell_length_c 10.053
_cell_angle_alpha 90.00
_cell_angle_beta 90.00
_cell_angle_gamma 90.00
_symmetry_space_group_name_H-M 'I 4/m m m'
_symmetry_Int_Tables_number 139
_symmetry_space_group_name_Hall '-I 4 2'
loop_
_atom_site_label
_atom_site_type_symbol
_atom_site_fract_x
_atom_site_fract_y
_atom_site_fract_z
Pm1 Pm 0.000 0.000 0.000
As1 As 0.000 0.000 0.500
As2 As 0.000 0.500 0.250
```


4.
Calculated powder diffractogram of PmAs3 for Cu Kα (weighted mean of Kα1 and Kα2), from a DFT-relaxed cell (PBE, the Materials Project).

The 8 most intense peaks (2θ = 5–70°), in order of rising 2θ:
| two_theta | I/Imax | h k l |
| --- | --- | --- |
| 20.05 | 10 | 1 0 0 |
| 28.50 | 9 | 1 1 0 |
| 35.10 | 100 | 1 1 1 |
| 40.75 | 49 | 2 0 0 |
| 45.82 | 5 | 2 1 0 |
| 50.48 | 4 | 2 1 1 |
| 58.99 | 33 | 2 2 0 |
| 62.96 | 2 | 3 0 0 |

Structure:
```
data_PmAs3
_chemical_formula_sum 'Pm1 As3'
_cell_length_a 4.429
_cell_length_b 4.429
_cell_length_c 4.429
_cell_angle_alpha 90.00
_cell_angle_beta 90.00
_cell_angle_gamma 90.00
_symmetry_space_group_name_H-M 'P m -3 m'
_symmetry_Int_Tables_number 221
_symmetry_space_group_name_Hall '-P 4 2 3'
loop_
_atom_site_label
_atom_site_type_symbol
_atom_site_fract_x
_atom_site_fract_y
_atom_site_fract_z
Pm1 Pm 0.000 0.000 0.000
As1 As 0.000 0.500 0.500
```


5.
Calculated powder diffractogram of PrAs for Cu Kα (weighted mean of Kα1 and Kα2), from a DFT-relaxed cell (PBE, the Materials Project).

The 8 most intense peaks (2θ = 5–70°), in order of rising 2θ:
| two_theta | I/Imax | h k l |
| --- | --- | --- |
| 22.66 | 14 | 1 0 0 |
| 32.26 | 66 | 1 1 0 |
| 35.67 | 100 | 1 0 1 |
| 46.26 | 24 | 2 0 0 |
| 56.06 | 7 | 0 0 2 |
| 59.75 | 44 | 2 1 1 |
| 66.17 | 16 | 1 1 2 |
| 67.50 | 8 | 2 2 0 |

Structure:
```
data_PrAs
_chemical_formula_sum 'Pr1 As1'
_cell_length_a 3.925
_cell_length_b 3.925
_cell_length_c 3.281
_cell_angle_alpha 90.00
_cell_angle_beta 90.00
_cell_angle_gamma 90.00
_symmetry_space_group_name_H-M 'P 4/m m m'
_symmetry_Int_Tables_number 123
_symmetry_space_group_name_Hall '-P 4 2'
loop_
_atom_site_label
_atom_site_type_symbol
_atom_site_fract_x
_atom_site_fract_y
_atom_site_fract_z
Pr1 Pr 0.000 0.000 0.000
As1 As 0.500 0.500 0.500
```


6.
Calculated powder diffractogram of PrAs for Cu Kα (weighted mean of Kα1 and Kα2), from a DFT-relaxed cell (PBE, the Materials Project).

The 8 most intense peaks (2θ = 5–70°), in order of rising 2θ:
| two_theta | I/Imax | h k l |
| --- | --- | --- |
| 25.31 | 16 | 1 1 1 |
| 29.31 | 100 | 2 0 0 |
| 41.93 | 75 | 2 2 0 |
| 49.61 | 8 | 3 1 1 |
| 51.98 | 27 | 2 2 2 |
| 60.80 | 12 | 4 0 0 |
| 66.93 | 3 | 3 3 1 |
| 68.91 | 34 | 4 2 0 |

Structure:
```
data_PrAs
_chemical_formula_sum 'Pr4 As4'
_cell_length_a 6.094
_cell_length_b 6.094
_cell_length_c 6.094
_cell_angle_alpha 90.00
_cell_angle_beta 90.00
_cell_angle_gamma 90.00
_symmetry_space_group_name_H-M 'F m -3 m'
_symmetry_Int_Tables_number 225
_symmetry_space_group_name_Hall '-F 4 2 3'
loop_
_atom_site_label
_atom_site_type_symbol
_atom_site_fract_x
_atom_site_fract_y
_atom_site_fract_z
Pr1 Pr 0.000 0.000 0.000
As1 As 0.000 0.000 0.500
```


7.
Calculated powder diffractogram of PrAs2 for Cu Kα (weighted mean of Kα1 and Kα2), from a DFT-relaxed cell (PBE, the Materials Project).

The 8 most intense peaks (2θ = 5–70°), in order of rising 2θ:
| two_theta | I/Imax | h k l |
| --- | --- | --- |
| 25.64 | 26 | 0 2 0 |
| 27.24 | 29 | 1 1 -2 |
| 29.13 | 41 | 0 1 3 |
| 33.64 | 100 | 1 2 -1 |
| 34.70 | 80 | 1 1 2 |
| 38.12 | 37 | 1 1 -4 |
| 43.63 | 26 | 2 0 -2 |
| 47.40 | 37 | 0 3 3 |

Structure:
```
data_PrAs2
_chemical_formula_sum 'Pr4 As8'
_cell_length_a 4.172
_cell_length_b 6.951
_cell_length_c 10.700
_cell_angle_alpha 90.00
_cell_angle_beta 106.76
_cell_angle_gamma 90.00
_symmetry_space_group_name_H-M 'P 1 21/c 1'
_symmetry_Int_Tables_number 14
loop_
_symmetry_equiv_pos_as_xyz
'x,y,z'
'-x,-y,-z'
'-x,y+1/2,-z+1/2'
'x,-y+1/2,z+1/2'
loop_
_atom_site_label
_atom_site_type_symbol
_atom_site_fract_x
_atom_site_fract_y
_atom_site_fract_z
Pr1 Pr 0.089 0.186 0.360
As1 As 0.272 0.623 0.450
As2 As 0.461 0.146 0.671
```


8.
Calculated powder diffractogram of PrAs2Rh2 for Cu Kα (weighted mean of Kα1 and Kα2), from a DFT-relaxed cell (PBE, the Materials Project).

The 8 most intense peaks (2θ = 5–70°), in order of rising 2θ:
| two_theta | I/Imax | h k l |
| --- | --- | --- |
| 33.75 | 65 | 1 0 3 |
| 34.41 | 100 | 1 1 2 |
| 42.05 | 67 | 2 0 0 |
| 46.68 | 19 | 1 1 4 |
| 49.74 | 25 | 1 0 5 |
| 54.96 | 32 | 2 1 3 |
| 60.97 | 22 | 2 2 0 |
| 67.12 | 20 | 2 1 5 |

Structure:
```
data_PrAs2Rh2
_chemical_formula_sum 'Pr2 As4 Rh4'
_cell_length_a 4.298
_cell_length_b 4.298
_cell_length_c 10.133
_cell_angle_alpha 90.00
_cell_angle_beta 90.00
_cell_angle_gamma 90.00
_symmetry_space_group_name_H-M 'P 4/n m m'
_symmetry_Int_Tables_number 129
loop_
_symmetry_equiv_pos_as_xyz
'x,y,z'
'-x,-y,-z'
'-y+1/2,x,z'
'y+1/2,-x,-z'
'-x+1/2,-y+1/2,z'
'x+1/2,y+1/2,-z'
'y,-x+1/2,z'
'-y,x+1/2,-z'
'x+1/2,-y,-z'
'-x+1/2,y,z'
'-y,-x,-z'
'y,x,z'
'-x,y+1/2,-z'
'x,-y+1/2,z'
'y+1/2,x+1/2,-z'
'-y+1/2,-x+1/2,z'
loop_
_atom_site_label
_atom_site_type_symbol
_atom_site_fract_x
_atom_site_fract_y
_atom_site_fract_z
Pr1 Pr 0.250 0.250 0.245
As1 As 0.250 0.250 0.637
As2 As 0.250 0.750 0.000
Rh1 Rh 0.250 0.250 0.878
Rh2 Rh 0.250 0.750 0.500
```


Please write out number 6 again, unchanged.
Calculated powder diffractogram of PrAs for Cu Kα (weighted mean of Kα1 and Kα2), from a DFT-relaxed cell (PBE, the Materials Project).

The 8 most intense peaks (2θ = 5–70°), in order of rising 2θ:
| two_theta | I/Imax | h k l |
| --- | --- | --- |
| 25.31 | 16 | 1 1 1 |
| 29.31 | 100 | 2 0 0 |
| 41.93 | 75 | 2 2 0 |
| 49.61 | 8 | 3 1 1 |
| 51.98 | 27 | 2 2 2 |
| 60.80 | 12 | 4 0 0 |
| 66.93 | 3 | 3 3 1 |
| 68.91 | 34 | 4 2 0 |

Structure:
```
data_PrAs
_chemical_formula_sum 'Pr4 As4'
_cell_length_a 6.094
_cell_length_b 6.094
_cell_length_c 6.094
_cell_angle_alpha 90.00
_cell_angle_beta 90.00
_cell_angle_gamma 90.00
_symmetry_space_group_name_H-M 'F m -3 m'
_symmetry_Int_Tables_number 225
_symmetry_space_group_name_Hall '-F 4 2 3'
loop_
_atom_site_label
_atom_site_type_symbol
_atom_site_fract_x
_atom_site_fract_y
_atom_site_fract_z
Pr1 Pr 0.000 0.000 0.000
As1 As 0.000 0.000 0.500
```


What did the sixth record say?
Calculated powder diffractogram of PrAs for Cu Kα (weighted mean of Kα1 and Kα2), from a DFT-relaxed cell (PBE, the Materials Project).

The 8 most intense peaks (2θ = 5–70°), in order of rising 2θ:
| two_theta | I/Imax | h k l |
| --- | --- | --- |
| 25.31 | 16 | 1 1 1 |
| 29.31 | 100 | 2 0 0 |
| 41.93 | 75 | 2 2 0 |
| 49.61 | 8 | 3 1 1 |
| 51.98 | 27 | 2 2 2 |
| 60.80 | 12 | 4 0 0 |
| 66.93 | 3 | 3 3 1 |
| 68.91 | 34 | 4 2 0 |

Structure:
```
data_PrAs
_chemical_formula_sum 'Pr4 As4'
_cell_length_a 6.094
_cell_length_b 6.094
_cell_length_c 6.094
_cell_angle_alpha 90.00
_cell_angle_beta 90.00
_cell_angle_gamma 90.00
_symmetry_space_group_name_H-M 'F m -3 m'
_symmetry_Int_Tables_number 225
_symmetry_space_group_name_Hall '-F 4 2 3'
loop_
_atom_site_label
_atom_site_type_symbol
_atom_site_fract_x
_atom_site_fract_y
_atom_site_fract_z
Pr1 Pr 0.000 0.000 0.000
As1 As 0.000 0.000 0.500
```